Fe25O32: simulated X-ray powder pattern (Cu Ka), based on a crystal structure in the Materials Project, relaxed with PBE+U.
No peak broadening, texture or thermal motion is included.

Most intense lines, 10 to 80 degrees two-theta, most intense first:
- 2.642 Å, I 100
- 2.086 Å, I 51
- 2.632 Å, I 42
- 1.263 Å, I 22
- 1.522 Å, I 19
- 1.439 Å, I 15
- 1.704 Å, I 14
- 2.491 Å, I 12
- 2.692 Å, I 12
- 1.883 Å, I 12

Cell and atoms:
abc: 2.877 15.219 15.219
angles: 119.73 90.00 90.00
Sites, in units of the cell vectors:
Fe  0.000  0.000  0.000
Fe  0.000  0.187  0.187
Fe  0.000  0.210  0.796
Fe  0.000  0.382  0.382
Fe  0.000  0.403  0.794
Fe  0.000  0.592  0.793
Fe  0.000  0.793  0.592
Fe  0.000  0.794  0.403
Fe  0.000  0.796  0.210
Fe  0.000  0.798  0.798
Fe  0.500  0.002  0.409
Fe  0.500  0.007  0.605
Fe  0.500  0.181  0.386
Fe  0.500  0.197  0.979
Fe  0.500  0.204  0.592
Fe  0.500  0.386  0.181
Fe  0.500  0.393  0.578
Fe  0.500  0.409  0.002
Fe  0.500  0.578  0.393
Fe  0.500  0.592  0.204
Fe  0.500  0.602  0.602
Fe  0.500  0.605  0.007
Fe  0.500  0.796  0.993
Fe  0.500  0.979  0.197
Fe  0.500  0.993  0.796
O  0.000  0.078  0.925
O  0.000  0.106  0.262
O  0.000  0.123  0.643
O  0.000  0.129  0.464
O  0.000  0.262  0.106
O  0.000  0.282  0.950
O  0.000  0.311  0.464
O  0.000  0.329  0.640
O  0.000  0.464  0.129
O  0.000  0.464  0.311
O  0.000  0.483  0.950
O  0.000  0.509  0.639
O  0.000  0.639  0.509
O  0.000  0.640  0.329
O  0.000  0.643  0.123
O  0.000  0.669  0.950
O  0.000  0.925  0.078
O  0.000  0.950  0.282
O  0.000  0.950  0.483
O  0.000  0.950  0.669
O  0.500  0.093  0.093
O  0.500  0.128  0.805
O  0.500  0.283  0.283
O  0.500  0.306  0.793
O  0.500  0.468  0.468
O  0.500  0.501  0.799
O  0.500  0.683  0.785
O  0.500  0.785  0.683
O  0.500  0.793  0.306
O  0.500  0.799  0.501
O  0.500  0.805  0.128
O  0.500  0.900  0.900

---

Li3MnCo2O6: simulated X-ray powder pattern (Cu Ka), based on a crystal structure in the Materials Project, relaxed with PBE+U.
No peak broadening, texture or thermal motion is included.

Most intense lines, 10 to 80 degrees two-theta, most intense first:
- 4.869 Å, I 100
- 2.097 Å, I 51
- 2.519 Å, I 28
- 1.483 Å, I 28
- 2.069 Å, I 25
- 1.462 Å, I 13
- 2.481 Å, I 13
- 1.619 Å, I 10
- 2.411 Å, I 9
- 1.921 Å, I 9

Cell and atoms:
abc: 5.113 5.113 5.143
angles: 99.12 99.12 120.96
Sites, in units of the cell vectors:
Li  0.000  0.000  0.000
Li  0.336  0.664  0.000
Li  0.664  0.336  0.000
Mn  0.500  0.500  0.500
Co  0.169  0.831  0.500
Co  0.831  0.169  0.500
O  0.108  0.421  0.272
O  0.257  0.257  0.723
O  0.421  0.108  0.272
O  0.579  0.892  0.728
O  0.743  0.743  0.277
O  0.892  0.579  0.728

---

Na3MnO4: simulated X-ray powder pattern (Cu Ka), based on a crystal structure in the Materials Project, relaxed with PBE+U.
No peak broadening, texture or thermal motion is included.

Most intense lines, 10 to 80 degrees two-theta, most intense first:
- 2.791 Å, I 100
- 4.558 Å, I 50
- 1.611 Å, I 35
- 3.947 Å, I 24
- 1.974 Å, I 22
- 1.396 Å, I 14
- 1.248 Å, I 12
- 2.110 Å, I 10
- 1.765 Å, I 8
- 3.531 Å, I 8

Cell and atoms:
abc: 7.895 7.895 7.895
angles: 90.00 90.00 90.00
Sites, in units of the cell vectors:
Na  0.006  0.006  0.006
Na  0.216  0.216  0.216
Na  0.243  0.757  0.257
Na  0.257  0.243  0.757
Na  0.284  0.784  0.716
Na  0.494  0.994  0.506
Na  0.506  0.494  0.994
Na  0.716  0.284  0.784
Na  0.743  0.743  0.743
Na  0.757  0.257  0.243
Na  0.784  0.716  0.284
Na  0.994  0.506  0.494
Mn  0.002  0.502  0.998
Mn  0.498  0.498  0.498
Mn  0.502  0.998  0.002
Mn  0.998  0.002  0.502
O  0.026  0.560  0.208
O  0.060  0.292  0.974
O  0.125  0.625  0.875
O  0.208  0.026  0.560
O  0.292  0.974  0.060
O  0.375  0.375  0.375
O  0.440  0.708  0.474
O  0.474  0.440  0.708
O  0.526  0.940  0.792
O  0.560  0.208  0.026
O  0.625  0.875  0.125
O  0.708  0.474  0.440
O  0.792  0.526  0.940
O  0.875  0.125  0.625
O  0.940  0.792  0.526
O  0.974  0.060  0.292

---

Li5Co3O8: simulated X-ray powder pattern (Cu Ka), based on a crystal structure in the Materials Project, relaxed with PBE+U.
No peak broadening, texture or thermal motion is included.

Most intense lines, 10 to 80 degrees two-theta, most intense first:
- 4.795 Å, I 100
- 2.106 Å, I 67
- 2.524 Å, I 32
- 1.989 Å, I 26
- 1.454 Å, I 16
- 1.438 Å, I 15
- 4.727 Å, I 12
- 1.493 Å, I 9
- 1.620 Å, I 9
- 2.409 Å, I 9

Cell and atoms:
abc: 5.001 2.985 9.706
angles: 90.00 103.09 90.00
Sites, in units of the cell vectors:
Li  0.000  0.000  0.000
Li  0.000  0.500  0.500
Li  0.246  0.000  0.748
Li  0.500  0.500  0.000
Li  0.754  0.000  0.252
Co  0.244  0.500  0.239
Co  0.500  0.000  0.500
Co  0.756  0.500  0.761
O  0.088  0.500  0.861
O  0.145  0.000  0.377
O  0.369  0.000  0.134
O  0.409  0.500  0.629
O  0.591  0.500  0.371
O  0.631  0.000  0.866
O  0.855  0.000  0.623
O  0.912  0.500  0.139

---

Li9Mn2Co5O16: simulated X-ray powder pattern (Cu Ka), based on a crystal structure in the Materials Project, relaxed with PBE+U.
No peak broadening, texture or thermal motion is included.

Most intense lines, 10 to 80 degrees two-theta, most intense first:
- 4.830 Å, I 100
- 2.054 Å, I 54
- 2.131 Å, I 30
- 1.479 Å, I 29
- 2.474 Å, I 24
- 2.557 Å, I 16
- 1.588 Å, I 10
- 1.913 Å, I 9
- 2.415 Å, I 8
- 1.441 Å, I 7

Cell and atoms:
abc: 7.763 7.763 13.121
angles: 93.25 93.25 21.39
Sites, in units of the cell vectors:
Li  0.000  0.000  0.000
Li  0.128  0.128  0.353
Li  0.253  0.253  0.735
Li  0.378  0.378  0.116
Li  0.501  0.501  0.480
Li  0.566  0.566  0.176
Li  0.625  0.625  0.867
Li  0.746  0.746  0.237
Li  0.876  0.876  0.610
Mn  0.064  0.064  0.674
Mn  0.185  0.185  0.059
Co  0.319  0.319  0.424
Co  0.436  0.436  0.805
Co  0.690  0.690  0.542
Co  0.813  0.813  0.929
Co  0.946  0.946  0.284
O  0.021  0.021  0.830
O  0.102  0.102  0.519
O  0.160  0.160  0.193
O  0.227  0.227  0.908
O  0.277  0.277  0.577
O  0.357  0.357  0.277
O  0.396  0.396  0.956
O  0.479  0.479  0.647
O  0.524  0.524  0.327
O  0.605  0.605  0.020
O  0.651  0.651  0.703
O  0.726  0.726  0.396
O  0.771  0.771  0.081
O  0.853  0.853  0.775
O  0.902  0.902  0.456
O  0.966  0.966  0.149